Starting from a structure optimized by DFT (PBE), the X-ray diffraction stick pattern of Sr21In8Pb7 was computed for Cu Kα.
Kinematic intensities with the Lorentz-polarization factor, no thermal factor.

Main lines, by angle (2θ = 10–80°):
| d_spacing | 2theta | I_rel |
| --- | --- | --- |
| 5.109 | 17.4 | 47.6 |
| 4.060 | 21.9 | 25.6 |
| 3.406 | 26.2 | 46.3 |
| 3.129 | 28.5 | 58.9 |
| 2.992 | 29.9 | 62.9 |
| 2.950 | 30.3 | 100.0 |
| 2.699 | 33.2 | 63.4 |
| 2.304 | 39.1 | 51.3 |
| 2.086 | 43.4 | 43.9 |
| 1.501 | 61.8 | 28.0 |

Structure:
```
data_Sr21In8Pb7
_chemical_formula_sum 'Sr84 In32 Pb28'
_cell_length_a 17.6990
_cell_length_b 17.6990
_cell_length_c 17.6990
_cell_angle_alpha 90.00
_cell_angle_beta 90.00
_cell_angle_gamma 90.00
_symmetry_space_group_name_H-M 'F m -3 m'
_symmetry_Int_Tables_number 225
_symmetry_space_group_name_Hall '-F 4 2 3'
loop_
_atom_site_label
_atom_site_type_symbol
_atom_site_fract_x
_atom_site_fract_y
_atom_site_fract_z
Sr1 Sr 0.0000 0.0000 0.0000
Sr2 Sr 0.0000 0.1589 0.3411
Sr3 Sr 0.1277 0.1277 0.1277
In1 In 0.1891 0.1891 0.3109
Pb1 Pb 0.0000 0.0000 0.2127
Pb2 Pb 0.0000 0.0000 0.5000
```

***

Starting from a structure optimized by DFT (PBE), the X-ray diffraction stick pattern of Tl2Fe3S4 was computed for Cu Kα.
Kinematic intensities with the Lorentz-polarization factor, no thermal factor.

Main lines, by angle (2θ = 10–80°):
| d_spacing | 2theta | I_rel |
| --- | --- | --- |
| 3.563 | 25.0 | 69.0 |
| 3.226 | 27.7 | 32.2 |
| 2.808 | 31.9 | 100.0 |
| 2.451 | 36.7 | 31.6 |
| 2.406 | 37.4 | 30.6 |
| 2.118 | 42.7 | 18.8 |
| 1.853 | 49.2 | 25.4 |
| 1.670 | 55.0 | 18.0 |
| 1.656 | 55.5 | 25.9 |
| 1.607 | 57.3 | 16.8 |

Structure:
```
data_Tl2Fe3S4
_chemical_formula_sum 'Tl8 Fe12 S16'
_cell_length_a 5.1871
_cell_length_b 10.5979
_cell_length_c 12.9029
_cell_angle_alpha 90.00
_cell_angle_beta 90.00
_cell_angle_gamma 90.00
_symmetry_space_group_name_H-M 'I b a m'
_symmetry_Int_Tables_number 72
_symmetry_space_group_name_Hall '-I 2 2c'
loop_
_atom_site_label
_atom_site_type_symbol
_atom_site_fract_x
_atom_site_fract_y
_atom_site_fract_z
Tl1 Tl 0.2483 0.1301 0.0000
Fe1 Fe 0.0000 0.0000 0.2500
Fe2 Fe 0.0000 0.2446 0.2500
S1 S 0.2447 0.3755 0.1645
```

***

Starting from a structure optimized by DFT (PBE), the X-ray diffraction stick pattern of BaEuInBiO6 was computed for Cu Kα.
Kinematic intensities with the Lorentz-polarization factor, no thermal factor.

Main lines, by angle (2θ = 10–80°):
| d_spacing | 2theta | I_rel |
| --- | --- | --- |
| 4.940 | 18.0 | 6.2 |
| 3.027 | 29.5 | 100.0 |
| 3.018 | 29.6 | 19.8 |
| 2.148 | 42.1 | 10.4 |
| 2.135 | 42.3 | 20.6 |
| 1.750 | 52.3 | 16.6 |
| 1.745 | 52.4 | 34.7 |
| 1.514 | 61.2 | 12.0 |
| 1.358 | 69.2 | 6.4 |
| 1.351 | 69.6 | 12.1 |

Structure:
```
data_BaEuInBiO6
_chemical_formula_sum 'Ba2 Eu2 In2 Bi2 O12'
_cell_length_a 6.0547
_cell_length_b 6.0568
_cell_length_c 8.5433
_cell_angle_alpha 90.04
_cell_angle_beta 90.02
_cell_angle_gamma 90.37
_symmetry_space_group_name_H-M 'P -1'
_symmetry_Int_Tables_number 2
loop_
_symmetry_equiv_pos_as_xyz
'x,y,z'
'-x,-y,-z'
loop_
_atom_site_label
_atom_site_type_symbol
_atom_site_fract_x
_atom_site_fract_y
_atom_site_fract_z
Ba1 Ba 0.0246 0.0065 0.2498
Eu1 Eu 0.4676 0.5049 0.7497
In1 In 0.0000 0.5000 0.5000
In2 In 0.5000 0.0000 0.0000
Bi1 Bi 0.0000 0.5000 0.0000
Bi2 Bi 0.5000 0.0000 0.5000
O1 O 0.0250 0.4405 0.7510
O2 O 0.2239 0.7752 0.5393
O3 O 0.2249 0.7752 0.9607
O4 O 0.2961 0.2992 0.0401
O5 O 0.2986 0.2950 0.4594
O6 O 0.4937 0.9105 0.2504
```

***

Starting from a structure optimized by DFT (PBE), the X-ray diffraction stick pattern of KHS was computed for Cu Kα.
Kinematic intensities with the Lorentz-polarization factor, no thermal factor.

Main lines, by angle (2θ = 10–80°):
| d_spacing | 2theta | I_rel |
| --- | --- | --- |
| 3.269 | 27.3 | 100.0 |
| 2.506 | 35.8 | 46.3 |
| 2.156 | 41.9 | 26.5 |
| 1.989 | 45.6 | 20.3 |
| 1.633 | 56.3 | 6.6 |
| 1.558 | 59.3 | 16.6 |
| 1.447 | 64.4 | 6.4 |
| 1.382 | 67.8 | 7.6 |
| 1.369 | 68.5 | 7.1 |
| 1.253 | 75.9 | 3.8 |

Structure:
```
data_KHS
_chemical_formula_sum 'K2 H2 S2'
_cell_length_a 4.3949
_cell_length_b 5.0096
_cell_length_c 6.6765
_cell_angle_alpha 90.00
_cell_angle_beta 101.35
_cell_angle_gamma 90.00
_symmetry_space_group_name_H-M 'P 1 21/m 1'
_symmetry_Int_Tables_number 11
loop_
_symmetry_equiv_pos_as_xyz
'x,y,z'
'-x,-y,-z'
'-x,y+1/2,-z'
'x,-y+1/2,z'
loop_
_atom_site_label
_atom_site_type_symbol
_atom_site_fract_x
_atom_site_fract_y
_atom_site_fract_z
K1 K 0.2308 0.2500 0.2619
H1 H 0.4704 0.7500 0.1051
S1 S 0.2594 0.2500 0.7561
```